Structure and theoretical powder X-ray diffraction pattern of Sr10P6ClO24F (the PBE geometry in the Materials Project; Cu Kα, 1.54184 Å).

```
Sr10P6ClO24F
1.0
9.941 0.000 0.000
-4.971 8.609 0.000
0.000 0.000 7.334
Sr P Cl O F
10 6 1 24 1
Cartesian
0.000 0.000 0.000
0.000 0.000 3.624
0.000 5.740 3.657
0.000 5.740 7.324
3.624 0.667 5.492
2.563 2.921 1.829
6.129 0.759 1.829
3.736 5.137 5.492
6.219 4.929 1.829
7.552 2.805 5.492
-1.119 2.632 1.809
-2.846 6.063 5.479
-2.132 8.262 1.809
1.143 3.113 5.479
1.703 8.042 5.479
3.251 6.325 1.809
4.971 2.870 4.262
-4.043 7.061 5.480
-2.912 5.121 6.720
-2.826 5.185 4.203
-3.485 7.476 1.801
0.239 1.854 1.801
-0.880 4.166 1.811
0.877 1.578 5.480
-0.212 3.899 5.522
-1.488 6.843 5.522
2.862 0.569 3.068
2.874 0.581 0.558
-0.922 7.288 1.811
1.893 3.570 4.203
1.992 3.527 6.720
1.802 5.764 1.811
1.700 6.476 5.522
0.932 8.464 4.203
0.921 8.571 6.720
4.036 5.830 0.558
4.033 5.846 3.068
3.246 7.889 1.801
3.166 8.580 5.480
8.001 2.199 0.558
8.017 2.194 3.068
4.971 2.870 1.226
```

Peak list (10 most intense, 2θ from 10° to 90°, sorted by position)
Position (°2θ), I (rel.), h k l
26.4, 206, 0 1 2
27.4, 269, 2 1 0
30.0, 1000, 3 -2 1
30.3, 849, 2 -1 2
31.2, 645, 3 0 0
44.0, 387, 2 2 2
46.5, 348, 2 1 3
47.7, 217, 3 2 1
48.5, 213, 1 4 0
49.1, 240, 0 4 2